No. 1
Structure and computed powder diffractogram of LiCoPO4 (a cell relaxed with PBE+U; CuKα).
No peak broadening, texture or thermal motion is included.

Principal peaks in the range 10 to 90 degrees two-theta, low angle first:
- 19.5°, rel. 17
- 20.5°, rel. 51
- 24.0°, rel. 19
- 24.8°, rel. 49
- 34.2°, rel. 61
- 34.8°, rel. 100
- 45.1°, rel. 17
- 50.9°, rel. 29
- 61.5°, rel. 22
- 64.6°, rel. 24

Cell and atoms:
```
LiCoPO4
1.0
9.0989 0.0000 0.0000
0.0000 6.4164 0.0000
0.0000 0.0000 4.9252
Li Co P O
4 4 4 16
Direct
0.1623 0.2500 0.0401
0.3377 0.7500 0.5401
0.6623 0.2500 0.4599
0.8377 0.7500 0.9599
0.0000 0.0000 0.5000
0.0000 0.5000 0.5000
0.5000 0.0000 0.0000
0.5000 0.5000 0.0000
0.1789 0.7500 0.0293
0.3211 0.2500 0.5293
0.6789 0.7500 0.4707
0.8211 0.2500 0.9707
0.1197 0.5501 0.1648
0.1197 0.9499 0.1648
0.1351 0.7500 0.7221
0.1489 0.2500 0.5759
0.3511 0.7500 0.0759
0.3649 0.2500 0.2221
0.3803 0.0501 0.6648
0.3803 0.4499 0.6648
0.6197 0.5501 0.3352
0.6197 0.9499 0.3352
0.6351 0.7500 0.7779
0.6489 0.2500 0.9241
0.8511 0.7500 0.4241
0.8649 0.2500 0.2779
0.8803 0.0501 0.8352
0.8803 0.4499 0.8352
```


No. 2
Structure and computed powder diffractogram of Zn5Co19O32 (a cell relaxed with PBE+U; CuKα).
No peak broadening, texture or thermal motion is included.

Principal peaks in the range 10 to 90 degrees two-theta, low angle first:
- 18.8°, rel. 9
- 31.0°, rel. 34
- 36.5°, rel. 100
- 38.2°, rel. 10
- 44.4°, rel. 16
- 55.1°, rel. 11
- 58.7°, rel. 37
- 64.6°, rel. 42
- 76.5°, rel. 10
- 89.9°, rel. 6

Cell and atoms:
```
Zn5Co19O32
1.0
2.8874 1.6670 18.8589
-2.8874 1.6670 18.8589
0.0000 -3.3341 18.8589
Zn Co O
5 19 32
Direct
0.0000 0.0000 0.0000
0.0625 0.0625 0.0625
0.5000 0.5000 0.5000
0.5625 0.5625 0.5625
0.8125 0.8125 0.8125
0.0314 0.0314 0.5311
0.0314 0.5311 0.0314
0.0312 0.5312 0.5312
0.1562 0.1562 0.1562
0.2500 0.2500 0.2500
0.2812 0.2812 0.7811
0.2812 0.7811 0.2812
0.2812 0.7812 0.7812
0.3125 0.3125 0.3125
0.4062 0.4062 0.4062
0.5311 0.0314 0.0314
0.5312 0.0312 0.5312
0.5312 0.5312 0.0312
0.6562 0.6562 0.6562
0.7500 0.7500 0.7500
0.7811 0.2812 0.2812
0.7812 0.2812 0.7812
0.7812 0.7812 0.2812
0.9063 0.9063 0.9063
0.0765 0.0765 0.6316
0.0765 0.6316 0.0765
0.0973 0.0973 0.0973
0.1316 0.5765 0.5765
0.1795 0.7366 0.7366
0.2153 0.2153 0.2153
0.2366 0.2366 0.6793
0.2366 0.6793 0.2366
0.3258 0.3258 0.8832
0.3258 0.8832 0.3258
0.3472 0.3472 0.3472
0.3832 0.8258 0.8258
0.4294 0.9866 0.9866
0.4651 0.4651 0.4651
0.4860 0.4860 0.9308
0.4860 0.9308 0.4860
0.5765 0.1316 0.5765
0.5765 0.5765 0.1316
0.5973 0.5973 0.5973
0.6316 0.0765 0.0765
0.6793 0.2366 0.2366
0.7153 0.7153 0.7153
0.7366 0.1795 0.7366
0.7366 0.7366 0.1795
0.8258 0.3832 0.8258
0.8258 0.8258 0.3832
0.8473 0.8473 0.8473
0.8832 0.3258 0.3258
0.9308 0.4860 0.4860
0.9651 0.9651 0.9651
0.9866 0.4294 0.9866
0.9866 0.9866 0.4294
```